The following is a simulated X-ray diffraction stick pattern of KRbSb2. It was derived from a PBE-relaxed structure, using Cu Ka.
Lines closer than 0.1° are merged.

Atomic structure:
abc: 4.603 6.963 10.536
angles: 90.00 90.00 90.00
Space group Pmc2_1 (No. 26)
Inequivalent atoms, fractional coordinates:
K  0.000  0.140  0.000 [2 per cell]
Rb  0.500  0.360  0.372 [2 per cell]
Sb  0.000  0.361  0.656 [2 per cell]
Sb  0.500  0.124  0.720 [2 per cell]

Main lines, in order of rising 2θ (2θ from 10° to 80°):
Position (°2θ)  I_rel  index
15.3  791  0 1 1
16.8  309  0 0 2
25.7  435  1 0 2
27.0  290  0 2 1
28.5  527  0 1 3
28.8  772  1 1 2
33.4  1000  1 2 1
39.1  264  2 0 0
47.1  290  1 3 2
49.1  224  2 1 3


The following is a simulated X-ray diffraction stick pattern of CdTcAsBr2. It was derived from a PBE-relaxed structure, using Cu Ka.
Lines closer than 0.1° are merged.

Atomic structure:
abc: 5.258 5.258 4.803
angles: 90.00 90.00 90.00
Space group P4/mmm (No. 123)
Inequivalent atoms, fractional coordinates:
Cd  0.000  0.000  0.000 [1 per cell]
Tc  0.500  0.500  0.500 [1 per cell]
As  0.500  0.500  0.000 [1 per cell]
Br  0.000  0.500  0.500 [2 per cell]

Main lines, in order of rising 2θ (2θ from 10° to 80°):
Position (°2θ)  I_rel  index
23.9  198  1 1 0
25.1  408  1 0 1
30.4  853  1 1 1
34.1  1000  2 0 0
37.5  385  0 0 2
42.8  191  2 1 1
49.0  350  2 2 0
51.5  600  2 0 2
58.8  249  3 1 1
63.3  418  2 2 2